Diffraction record for Na4Sc2P3O12. The powder diffractogram is simulated, not measured: it uses a structure optimized by DFT (PBE) and Cu Kα, 1.54184 Å.
Neutral-atom scattering factors, no anomalous dispersion.

The 8 most intense peaks (10 to 80 degrees two-theta), sorted by position:
2θ/deg  I/Imax  hkl
20.10  26.4  1 0 4
22.91  51.3  1 1 3
29.63  25.8  2 1 1
31.87  100.0  1 1 6
33.35  76.4  3 0 0
46.80  44.6  2 2 6
51.96  26.1  0 0 12
58.68  32.5  4 1 6

Structural model:
Cell lengths 9.3062, 9.3062, 21.1316 Å; angles 90.00, 90.00, 120.00 degrees
Space group R-3c (No. 167, hexagonal axes)
One atom of each set of equivalent atoms:
Na  0.0000  0.0000  0.0000 [6 per cell]
Na  0.0000  0.3623  0.2500 [18 per cell]
Sc  0.0000  0.0000  0.1558 [12 per cell]
P  0.0000  0.3088  0.7500 [18 per cell]
O  0.0079  0.1831  0.4153 [36 per cell]
O  0.0119  0.2192  0.6900 [36 per cell]